(1)
Theoretical powder diffractogram
Compound: B2PdPt4
Radiation: a wavelength of 1.5418 Å
Structure: a cell relaxed with GGA-PBE
No peak broadening, texture or thermal motion is included.

Main lines, by angle (2θ = 5–70°):
Position (°2θ)	intensity	hkl
26.15	46	1 0 -2
35.43	100	0 2 0
35.62	53	2 0 0
37.53	39	1 0 2
37.94	43	1 0 -3
38.44	38	2 1 -2
41.93	22	1 -2 2
46.15	30	2 -2 0
50.83	18	1 0 3
53.80	20	2 0 -4

Structure:
```
data_B2PdPt4
_chemical_formula_sum 'B4 Pd2 Pt8'
_cell_length_a 5.428
_cell_length_b 5.453
_cell_length_c 7.564
_cell_angle_alpha 109.43
_cell_angle_beta 109.37
_cell_angle_gamma 92.62
_symmetry_space_group_name_H-M 'P 1'
_symmetry_Int_Tables_number 1
_symmetry_space_group_name_Hall 'P 1'
loop_
_atom_site_label
_atom_site_fract_x
_atom_site_fract_y
_atom_site_fract_z
B1 0.000 0.000 0.000
B2 0.001 0.501 0.001
B3 0.002 0.002 0.501
B4 0.501 0.001 0.501
Pd1 0.411 0.590 0.251
Pd2 0.591 0.412 0.751
Pt1 0.192 0.219 0.853
Pt2 0.224 0.189 0.351
Pt3 0.238 0.736 0.562
Pt4 0.260 0.756 0.936
Pt5 0.742 0.246 0.066
Pt6 0.764 0.265 0.440
Pt7 0.778 0.812 0.650
Pt8 0.810 0.783 0.148
```

=====

(2)
Theoretical powder diffractogram
Compound: B3PdPt6
Radiation: a wavelength of 1.5418 Å
Structure: a cell relaxed with GGA-PBE
No peak broadening, texture or thermal motion is included.

Main lines, by angle (2θ = 5–70°):
Position (°2θ)	intensity	hkl
32.29	47	1 2 1
32.45	37	2 1 0
34.72	100	0 0 2
36.19	43	2 1 1
36.98	70	0 2 1
38.05	42	2 0 0
38.25	42	2 2 1
39.06	69	-1 1 2
44.21	25	1 -1 1
45.15	31	2 0 1

Structure:
```
data_B3PdPt6
_chemical_formula_sum 'B3 Pd1 Pt6'
_cell_length_a 5.525
_cell_length_b 5.571
_cell_length_c 5.741
_cell_angle_alpha 66.58
_cell_angle_beta 87.78
_cell_angle_gamma 60.78
_symmetry_space_group_name_H-M 'P 1'
_symmetry_Int_Tables_number 1
_symmetry_space_group_name_Hall 'P 1'
loop_
_atom_site_label
_atom_site_fract_x
_atom_site_fract_y
_atom_site_fract_z
B1 0.000 0.000 0.000
B2 0.278 0.477 0.696
B3 0.654 0.662 0.987
Pd1 0.349 0.273 0.111
Pt1 0.268 0.850 0.748
Pt2 0.378 0.689 0.322
Pt3 0.657 0.079 0.727
Pt4 0.859 0.197 0.272
Pt5 0.878 0.695 0.248
Pt6 0.902 0.453 0.747
```

=====

(3)
Theoretical powder diffractogram
Compound: SrBPd2Pt
Radiation: a wavelength of 1.5418 Å
Structure: a cell relaxed with GGA-PBE
No peak broadening, texture or thermal motion is included.

Main lines, by angle (2θ = 5–70°):
Position (°2θ)	intensity	hkl
19.92	11	1 0 0
28.95	6	1 0 1
35.39	100	1 1 1
40.48	37	2 0 0
42.31	16	0 0 2
45.51	3	2 1 0
47.18	2	1 0 2
50.53	3	2 1 1
58.58	12	2 2 0
59.99	23	2 0 2

Structure:
```
data_SrBPd2Pt
_chemical_formula_sum 'Sr1 B1 Pd2 Pt1'
_cell_length_a 4.457
_cell_length_b 4.457
_cell_length_c 4.272
_cell_angle_alpha 90.00
_cell_angle_beta 90.00
_cell_angle_gamma 90.00
_symmetry_space_group_name_H-M 'P 4/m m m'
_symmetry_Int_Tables_number 123
_symmetry_space_group_name_Hall '-P 4 2'
loop_
_atom_site_label
_atom_site_fract_x
_atom_site_fract_y
_atom_site_fract_z
Sr1 0.000 0.000 0.000
B1 0.500 0.500 0.500
Pd1 0.000 0.500 0.500
Pt1 0.500 0.500 0.000
```

=====

(4)
Theoretical powder diffractogram
Compound: Pu3B2PdRh9
Radiation: a wavelength of 1.5418 Å
Structure: a cell relaxed with GGA-PBE
No peak broadening, texture or thermal motion is included.

Main lines, by angle (2θ = 5–70°):
Position (°2θ)	intensity	hkl
20.43	15	1 0 1
26.91	34	0 1 2
30.25	31	0 0 3
31.06	19	1 1 0
37.47	100	0 2 1
41.55	91	2 0 2
44.75	18	1 0 4
52.77	13	1 2 2
55.47	16	0 2 4
64.75	28	2 2 0

Structure:
```
data_Pu3B2PdRh9
_chemical_formula_sum 'Pu3 B2 Pd1 Rh9'
_cell_length_a 5.7588
_cell_length_b 5.7588
_cell_length_c 8.8649
_cell_angle_alpha 90.00
_cell_angle_beta 90.00
_cell_angle_gamma 120.00
_symmetry_space_group_name_H-M 'P -3 m 1'
_symmetry_Int_Tables_number 164
_symmetry_space_group_name_Hall '-P 3 2"'
loop_
_atom_site_label
_atom_site_fract_x
_atom_site_fract_y
_atom_site_fract_z
Pu1 0.0000 0.0000 0.0000
Pu2 0.3333 0.6667 0.6467
B1 0.3333 0.6667 0.1451
Pd1 0.0000 0.0000 0.5000
Rh1 0.0000 0.5000 0.0000
Rh2 0.1614 0.3228 0.2688
```

=====

Please write out number 4 again, unchanged.
Theoretical powder diffractogram
Compound: Pu3B2PdRh9
Radiation: a wavelength of 1.5418 Å
Structure: a cell relaxed with GGA-PBE
No peak broadening, texture or thermal motion is included.

Main lines, by angle (2θ = 5–70°):
Position (°2θ)	intensity	hkl
20.43	15	1 0 1
26.91	34	0 1 2
30.25	31	0 0 3
31.06	19	1 1 0
37.47	100	0 2 1
41.55	91	2 0 2
44.75	18	1 0 4
52.77	13	1 2 2
55.47	16	0 2 4
64.75	28	2 2 0

Structure:
```
data_Pu3B2PdRh9
_chemical_formula_sum 'Pu3 B2 Pd1 Rh9'
_cell_length_a 5.7588
_cell_length_b 5.7588
_cell_length_c 8.8649
_cell_angle_alpha 90.00
_cell_angle_beta 90.00
_cell_angle_gamma 120.00
_symmetry_space_group_name_H-M 'P -3 m 1'
_symmetry_Int_Tables_number 164
_symmetry_space_group_name_Hall '-P 3 2"'
loop_
_atom_site_label
_atom_site_fract_x
_atom_site_fract_y
_atom_site_fract_z
Pu1 0.0000 0.0000 0.0000
Pu2 0.3333 0.6667 0.6467
B1 0.3333 0.6667 0.1451
Pd1 0.0000 0.0000 0.5000
Rh1 0.0000 0.5000 0.0000
Rh2 0.1614 0.3228 0.2688
```